1.
Structure and computed powder diffractogram of Sc3AgO (a crystal structure in Alexandria, relaxed with GGA-PBE; Cu Kα (weighted mean of Kα1 and Kα2)).

Largest 10 diffraction maxima, low angle first, 15° ≤ 2θ ≤ 90°:
- hkl 1 0 3, 25.20 deg, I = 14
- hkl 1 1 4, 35.12 deg, I = 100
- hkl 0 0 8, 40.24 deg, I = 21
- hkl 0 2 0, 40.87 deg, I = 21
- hkl 2 0 0, 41.20 deg, I = 21
- hkl 0 2 8, 58.70 deg, I = 12
- hkl 2 0 8, 58.95 deg, I = 12
- hkl 2 2 0, 59.43 deg, I = 13
- hkl 1 3 4, 70.71 deg, I = 12
- hkl 2 2 8, 74.22 deg, I = 12

Atomic structure:
Unit cell a=4.3822 b=4.4157 c=17.9291 alpha=90.00 beta=90.00 gamma=90.00
Space group Imma (No. 74)
One atom of each set of equivalent atoms:
Sc1 0.0000 0.2500 0.0586
Sc2 0.0000 0.2500 0.5719
Sc3 0.0000 0.2500 0.8066
Ag1 0.0000 0.2500 0.3097
O1 0.0000 0.2500 0.9305

---

2.
Structure and computed powder diffractogram of Sr2ScAgO4 (a crystal structure in Alexandria, relaxed with GGA-PBE; Cu Kα (weighted mean of Kα1 and Kα2)).

Largest 10 diffraction maxima, low angle first, 15° ≤ 2θ ≤ 90°:
- hkl 1 1 2, 29.09 deg, I = 100
- hkl 0 0 4, 33.40 deg, I = 11
- hkl 2 0 0, 33.87 deg, I = 21
- hkl 2 0 4, 48.31 deg, I = 30
- hkl 2 2 0, 48.66 deg, I = 15
- hkl 1 1 6, 57.07 deg, I = 14
- hkl 3 1 2, 57.70 deg, I = 26
- hkl 2 2 4, 60.30 deg, I = 9
- hkl 1 3 6, 78.22 deg, I = 11
- hkl 3 3 2, 78.76 deg, I = 5

Atomic structure:
Unit cell a=5.2928 b=5.2928 c=10.7316 alpha=90.00 beta=90.00 gamma=90.00
Space group I-4 (No. 82)
One atom of each set of equivalent atoms:
Sr1 0.0000 0.0000 0.0000
Sr2 0.0000 0.5000 0.2500
Sc1 0.0000 0.0000 0.5000
Ag1 0.0000 0.5000 0.7500
O1 0.2162 0.7807 0.3907

---

3.
Structure and computed powder diffractogram of Sc4TlAgO (a crystal structure in Alexandria, relaxed with GGA-PBE; Cu Kα (weighted mean of Kα1 and Kα2)).

Largest 10 diffraction maxima, low angle first, 15° ≤ 2θ ≤ 90°:
- hkl 1 1 1, 21.13 deg, I = 54
- hkl 0 4 0, 24.59 deg, I = 24
- hkl 1 3 1, 27.45 deg, I = 52
- hkl 2 0 0, 28.74 deg, I = 70
- hkl 2 2 0, 31.33 deg, I = 29
- hkl 0 6 0, 37.21 deg, I = 41
- hkl 2 4 0, 38.17 deg, I = 100
- hkl 2 0 2, 41.09 deg, I = 62
- hkl 2 6 2, 56.63 deg, I = 32
- hkl 4 4 2, 72.93 deg, I = 29

Atomic structure:
Unit cell a=6.2178 b=14.4832 c=6.2090 alpha=90.00 beta=90.00 gamma=90.00
Space group Cmcm (No. 63)
One atom of each set of equivalent atoms:
Sc1 0.0000 0.0730 0.2500
Sc2 0.0000 0.4135 0.2500
Sc3 0.2500 0.2500 0.0000
Tl1 0.0000 0.3887 0.7500
Ag1 0.0000 0.1169 0.7500
O1 0.0000 0.2519 0.2500

---

4.
Structure and computed powder diffractogram of Ag2SeO5 (a crystal structure in Alexandria, relaxed with GGA-PBE; Cu Kα (weighted mean of Kα1 and Kα2)).

Largest 10 diffraction maxima, low angle first, 15° ≤ 2θ ≤ 90°:
- hkl 0 1 1, 16.18 deg, I = 74
- hkl 1 0 1, 16.40 deg, I = 55
- hkl 1 2 0, 21.21 deg, I = 55
- hkl 2 2 0, 27.25 deg, I = 100
- hkl 1 1 2, 29.88 deg, I = 76
- hkl 1 3 0, 30.04 deg, I = 50
- hkl 3 1 0, 31.02 deg, I = 50
- hkl 3 0 1, 32.44 deg, I = 36
- hkl 1 3 1, 32.93 deg, I = 66
- hkl 2 0 2, 33.15 deg, I = 60

Atomic structure:
Unit cell a=9.0812 b=9.4442 c=6.7243 alpha=90.00 beta=90.00 gamma=90.00
Space group Pnnm (No. 58)
One atom of each set of equivalent atoms:
Ag1 0.0000 0.0000 0.2456
Ag2 0.1606 0.3797 0.5000
Se1 0.2180 0.7569 0.5000
O1 0.0875 0.6285 0.5000
O2 0.1175 0.9363 0.0000
O3 0.1276 0.9202 0.5000
O4 0.1810 0.2492 0.2059